Starting from a PBE-relaxed structure, the powder diffractogram of Ba3Cd4In4 was simulated for Cu Kα X-rays.
Neutral-atom scattering factors, no anomalous dispersion.

```
data_Ba3Cd4In4
_chemical_formula_sum 'Ba6 Cd8 In8'
_space_group_name_H-M_alt 'I m m m'
_space_group_IT_number 71
_space_group_name_Hall '-I 2 2'
_cell_length_a 5.1780
_cell_length_b 7.9462
_cell_length_c 16.9767
_cell_angle_alpha 90.00
_cell_angle_beta 90.00
_cell_angle_gamma 90.00
loop_
_atom_site_label
_atom_site_fract_x
_atom_site_fract_y
_atom_site_fract_z
Ba1 0.0000 0.0000 0.0000
Ba2 0.0000 0.5000 0.1359
Cd1 0.0000 0.3127 0.3371
In1 0.0000 0.0000 0.2185
In2 0.0000 0.1793 0.5000
```

Largest 10 diffraction maxima, by angle, 2θ = 10–90°:
- hkl 1 2 1, d 3.099, I = 83
- hkl 1 1 4, d 3.034, I = 100
- hkl 0 0 6, d 2.829, I = 26
- hkl 1 2 3, d 2.754, I = 21
- hkl 2 0 0, d 2.589, I = 50
- hkl 0 3 3, d 2.399, I = 35
- hkl 1 2 5, d 2.309, I = 24
- hkl 1 3 2, d 2.272, I = 17
- hkl 2 3 3, d 1.760, I = 28
- hkl 3 2 1, d 1.576, I = 20

---

Starting from a PBE-relaxed structure, the powder diffractogram of BaCd11In was simulated for Cu Kα X-rays.
Neutral-atom scattering factors, no anomalous dispersion.

```
data_BaCd11In
_chemical_formula_sum 'Ba2 Cd22 In2'
_space_group_name_H-M_alt 'C 1 2/m 1'
_space_group_IT_number 12
_cell_length_a 6.1684
_cell_length_b 14.4311
_cell_length_c 7.8482
_cell_angle_alpha 90.00
_cell_angle_beta 113.12
_cell_angle_gamma 90.00
loop_
_space_group_symop_operation_xyz
'x,y,z'
'-x,-y,-z'
'-x,y,-z'
'x,-y,z'
'x+1/2,y+1/2,z'
'-x+1/2,-y+1/2,-z'
'-x+1/2,y+1/2,-z'
'x+1/2,-y+1/2,z'
loop_
_atom_site_label
_atom_site_fract_x
_atom_site_fract_y
_atom_site_fract_z
Ba1 0.0000 0.0000 0.0000
Cd1 0.0000 0.5000 0.5000
Cd2 0.1049 0.3900 0.2165
Cd3 0.1853 0.1790 0.3540
Cd4 0.2500 0.2500 0.0000
In1 0.0000 0.0000 0.5000
```

Largest 10 diffraction maxima, by angle, 2θ = 10–90°:
- hkl 1 3 -2, d 2.979, I = 42
- hkl 2 2 0, d 2.640, I = 84
- hkl 1 5 -1, d 2.573, I = 100
- hkl 0 4 2, d 2.552, I = 63
- hkl 2 0 -3, d 2.344, I = 72
- hkl 1 3 2, d 2.297, I = 32
- hkl 0 2 3, d 2.282, I = 37
- hkl 3 5 -2, d 1.664, I = 25
- hkl 2 6 -4, d 1.490, I = 28
- hkl 1 3 -5, d 1.477, I = 22

---

Starting from a PBE-relaxed structure, the powder diffractogram of BaCd10In was simulated for Cu Kα X-rays.
Neutral-atom scattering factors, no anomalous dispersion.

```
data_BaCd10In
_chemical_formula_sum 'Ba1 Cd10 In1'
_space_group_name_H-M_alt 'P m m m'
_space_group_IT_number 47
_cell_length_a 4.9513
_cell_length_b 6.1476
_cell_length_c 10.4480
_cell_angle_alpha 90.00
_cell_angle_beta 90.00
_cell_angle_gamma 90.00
loop_
_space_group_symop_operation_xyz
'x,y,z'
'-x,-y,-z'
'-x,-y,z'
'x,y,-z'
'x,-y,-z'
'-x,y,z'
'-x,y,-z'
'x,-y,z'
loop_
_atom_site_label
_atom_site_fract_x
_atom_site_fract_y
_atom_site_fract_z
Ba1 0.0000 0.0000 0.0000
Cd1 0.0000 0.0000 0.3472
Cd2 0.0000 0.5000 0.1949
Cd3 0.5000 0.0000 0.5000
Cd4 0.5000 0.2411 0.2418
Cd5 0.5000 0.5000 0.0000
In1 0.0000 0.5000 0.5000
```

Largest 10 diffraction maxima, by angle, 2θ = 10–90°:
- hkl 1 1 1, d 3.618, I = 21
- hkl 0 1 3, d 3.030, I = 18
- hkl 0 2 2, d 2.649, I = 30
- hkl 1 2 0, d 2.612, I = 75
- hkl 1 1 3, d 2.585, I = 100
- hkl 2 0 0, d 2.476, I = 53
- hkl 1 2 2, d 2.336, I = 44
- hkl 2 2 2, d 1.809, I = 19
- hkl 1 3 3, d 1.663, I = 24
- hkl 2 2 6, d 1.292, I = 19

---

Starting from a PBE-relaxed structure, the powder diffractogram of Ba2CdIn6 was simulated for Cu Kα X-rays.
Neutral-atom scattering factors, no anomalous dispersion.

```
data_Ba2CdIn6
_chemical_formula_sum 'Ba4 Cd2 In12'
_space_group_name_H-M_alt 'C 1 2/m 1'
_space_group_IT_number 12
_cell_length_a 12.0177
_cell_length_b 6.9139
_cell_length_c 6.9944
_cell_angle_alpha 90.00
_cell_angle_beta 106.66
_cell_angle_gamma 90.00
loop_
_space_group_symop_operation_xyz
'x,y,z'
'-x,-y,-z'
'-x,y,-z'
'x,-y,z'
'x+1/2,y+1/2,z'
'-x+1/2,-y+1/2,-z'
'-x+1/2,y+1/2,-z'
'x+1/2,-y+1/2,z'
loop_
_atom_site_label
_atom_site_fract_x
_atom_site_fract_y
_atom_site_fract_z
Ba1 0.1467 0.0000 0.3485
Cd1 0.0000 0.5000 0.5000
In1 0.1196 0.5000 0.1690
In2 0.1358 0.2234 0.8333
```

Largest 10 diffraction maxima, by angle, 2θ = 10–90°:
- hkl 0 0 2, d 3.354, I = 28
- hkl 1 1 -2, d 3.121, I = 34
- hkl 0 2 1, d 3.072, I = 19
- hkl 4 0 0, d 2.874, I = 100
- hkl 3 1 1, d 2.738, I = 30
- hkl 2 0 2, d 2.591, I = 16
- hkl 2 2 1, d 2.575, I = 84
- hkl 2 2 -2, d 2.404, I = 18
- hkl 6 2 -1, d 1.733, I = 27
- hkl 0 4 0, d 1.728, I = 12

---

Starting from a PBE-relaxed structure, the powder diffractogram of BaLiCdIn2 was simulated for Cu Kα X-rays.
Neutral-atom scattering factors, no anomalous dispersion.

```
data_BaLiCdIn2
_chemical_formula_sum 'Ba2 Li2 Cd2 In4'
_space_group_name_H-M_alt 'I -4 m 2'
_space_group_IT_number 119
_space_group_name_Hall 'I -4 -2'
_cell_length_a 4.9731
_cell_length_b 4.9731
_cell_length_c 11.8324
_cell_angle_alpha 90.00
_cell_angle_beta 90.00
_cell_angle_gamma 90.00
loop_
_atom_site_label
_atom_site_fract_x
_atom_site_fract_y
_atom_site_fract_z
Ba1 0.0000 0.0000 0.0000
Li1 0.0000 0.5000 0.2500
Cd1 0.0000 0.5000 0.7500
In1 0.0000 0.0000 0.3776
```

Largest 10 diffraction maxima, by angle, 2θ = 10–90°:
- hkl 1 0 1, d 4.585, I = 37
- hkl 1 1 0, d 3.517, I = 44
- hkl 1 0 3, d 3.090, I = 100
- hkl 1 1 2, d 3.023, I = 66
- hkl 2 0 0, d 2.487, I = 68
- hkl 1 1 4, d 2.264, I = 22
- hkl 1 0 5, d 2.137, I = 40
- hkl 2 1 3, d 1.937, I = 52
- hkl 2 2 0, d 1.758, I = 23
- hkl 2 1 5, d 1.621, I = 33

---

Starting from a PBE-relaxed structure, the powder diffractogram of Ba2MgCd3In4 was simulated for Cu Kα X-rays.
Neutral-atom scattering factors, no anomalous dispersion.

```
data_Ba2MgCd3In4
_chemical_formula_sum 'Ba2 Mg1 Cd3 In4'
_space_group_name_H-M_alt 'P -4 m 2'
_space_group_IT_number 115
_cell_length_a 4.9193
_cell_length_b 4.9193
_cell_length_c 12.3803
_cell_angle_alpha 90.00
_cell_angle_beta 90.00
_cell_angle_gamma 90.00
loop_
_space_group_symop_operation_xyz
'x,y,z'
'y,-x,-z'
'-x,-y,z'
'-y,x,-z'
'-x,y,z'
'-y,-x,-z'
'x,-y,z'
'y,x,-z'
loop_
_atom_site_label
_atom_site_fract_x
_atom_site_fract_y
_atom_site_fract_z
Ba1 0.0000 0.5000 0.2494
Mg1 0.0000 0.0000 0.5000
Cd1 0.0000 0.5000 0.8634
Cd2 0.5000 0.5000 0.5000
In1 0.0000 0.0000 0.0000
In2 0.0000 0.5000 0.6324
In3 0.5000 0.5000 0.0000
```

Largest 10 diffraction maxima, by angle, 2θ = 10–90°:
- hkl 1 1 0, d 3.478, I = 18
- hkl 1 0 3, d 3.162, I = 66
- hkl 1 1 2, d 3.032, I = 100
- hkl 2 0 0, d 2.460, I = 71
- hkl 1 1 4, d 2.312, I = 31
- hkl 1 0 5, d 2.212, I = 39
- hkl 2 1 3, d 1.941, I = 33
- hkl 2 2 0, d 1.739, I = 24
- hkl 2 1 5, d 1.645, I = 30
- hkl 3 1 2, d 1.509, I = 24

---

Starting from a PBE-relaxed structure, the powder diffractogram of Ba2Cd6InPb was simulated for Cu Kα X-rays.
Neutral-atom scattering factors, no anomalous dispersion.

```
data_Ba2Cd6InPb
_chemical_formula_sum 'Ba8 Cd24 In4 Pb4'
_space_group_name_H-M_alt 'F m -3 m'
_space_group_IT_number 225
_space_group_name_Hall '-F 4 2 3'
_cell_length_a 11.4031
_cell_length_b 11.4031
_cell_length_c 11.4031
_cell_angle_alpha 90.00
_cell_angle_beta 90.00
_cell_angle_gamma 90.00
loop_
_atom_site_label
_atom_site_fract_x
_atom_site_fract_y
_atom_site_fract_z
Ba1 0.2500 0.2500 0.2500
Cd1 0.0000 0.0000 0.2451
In1 0.0000 0.0000 0.0000
Pb1 0.0000 0.0000 0.5000
```

Largest 10 diffraction maxima, by angle, 2θ = 10–90°:
- hkl 2 0 0, d 5.702, I = 27
- hkl 2 2 0, d 4.032, I = 37
- hkl 2 2 2, d 3.292, I = 48
- hkl 4 0 0, d 2.851, I = 100
- hkl 4 2 2, d 2.328, I = 18
- hkl 4 4 0, d 2.016, I = 73
- hkl 6 2 2, d 1.719, I = 20
- hkl 4 4 4, d 1.646, I = 25
- hkl 8 4 0, d 1.275, I = 32
- hkl 8 4 4, d 1.164, I = 24

---

Starting from a PBE-relaxed structure, the powder diffractogram of Ba2CdIn2Pd5 was simulated for Cu Kα X-rays.
Neutral-atom scattering factors, no anomalous dispersion.

```
data_Ba2CdIn2Pd5
_chemical_formula_sum 'Ba4 Cd2 In4 Pd10'
_space_group_name_H-M_alt 'P 4/m b m'
_space_group_IT_number 127
_space_group_name_Hall '-P 4 2ab'
_cell_length_a 11.3144
_cell_length_b 11.3144
_cell_length_c 3.5570
_cell_angle_alpha 90.00
_cell_angle_beta 90.00
_cell_angle_gamma 90.00
loop_
_atom_site_label
_atom_site_fract_x
_atom_site_fract_y
_atom_site_fract_z
Ba1 0.1727 0.3273 0.0000
Cd1 0.0000 0.0000 0.0000
In1 0.1282 0.6282 0.0000
Pd1 0.0000 0.5000 0.5000
Pd2 0.0591 0.8079 0.5000
```

Largest 10 diffraction maxima, by angle, 2θ = 10–90°:
- hkl 4 1 0, d 2.744, I = 39
- hkl 3 3 0, d 2.667, I = 24
- hkl 2 2 1, d 2.658, I = 17
- hkl 4 2 0, d 2.530, I = 11
- hkl 3 1 1, d 2.523, I = 100
- hkl 3 2 1, d 2.353, I = 31
- hkl 4 0 1, d 2.215, I = 16
- hkl 0 0 2, d 1.779, I = 15
- hkl 7 1 0, d 1.599, I = 12
- hkl 4 1 2, d 1.492, I = 12

---

Starting from a PBE-relaxed structure, the powder diffractogram of BaCd2InPt was simulated for Cu Kα X-rays.
Neutral-atom scattering factors, no anomalous dispersion.

```
data_BaCd2InPt
_chemical_formula_sum 'Ba2 Cd4 In2 Pt2'
_space_group_name_H-M_alt 'I m m 2'
_space_group_IT_number 44
_cell_length_a 4.6123
_cell_length_b 4.7481
_cell_length_c 12.4092
_cell_angle_alpha 90.00
_cell_angle_beta 90.00
_cell_angle_gamma 90.00
loop_
_space_group_symop_operation_xyz
'x,y,z'
'-x,-y,z'
'-x,y,z'
'x,-y,z'
'x+1/2,y+1/2,z+1/2'
'-x+1/2,-y+1/2,z+1/2'
'-x+1/2,y+1/2,z+1/2'
'x+1/2,-y+1/2,z+1/2'
loop_
_atom_site_label
_atom_site_fract_x
_atom_site_fract_y
_atom_site_fract_z
Ba1 0.0000 0.0000 0.0000
Cd1 0.0000 0.0000 0.6126
Cd2 0.0000 0.5000 0.2659
In1 0.0000 0.5000 0.7673
Pt1 0.0000 0.0000 0.3908
```

Largest 10 diffraction maxima, by angle, 2θ = 10–90°:
- hkl 0 1 3, d 3.119, I = 30
- hkl 1 0 3, d 3.079, I = 27
- hkl 1 1 2, d 2.919, I = 100
- hkl 0 2 0, d 2.374, I = 37
- hkl 2 0 0, d 2.306, I = 34
- hkl 1 1 4, d 2.263, I = 43
- hkl 0 1 5, d 2.199, I = 23
- hkl 1 0 5, d 2.186, I = 23
- hkl 2 2 0, d 1.654, I = 24
- hkl 1 2 5, d 1.608, I = 18

---

Starting from a PBE-relaxed structure, the powder diffractogram of BaTmCd2In2 was simulated for Cu Kα X-rays.
Neutral-atom scattering factors, no anomalous dispersion.

```
data_BaTmCd2In2
_chemical_formula_sum 'Ba1 Tm1 Cd2 In2'
_space_group_name_H-M_alt 'P -3 m 1'
_space_group_IT_number 164
_space_group_name_Hall '-P 3 2"'
_cell_length_a 4.9849
_cell_length_b 4.9849
_cell_length_c 8.2391
_cell_angle_alpha 90.00
_cell_angle_beta 90.00
_cell_angle_gamma 120.00
loop_
_atom_site_label
_atom_site_fract_x
_atom_site_fract_y
_atom_site_fract_z
Ba1 0.0000 0.0000 0.0000
Tm1 0.0000 0.0000 0.5000
Cd1 0.3333 0.6667 0.6894
In1 0.3333 0.6667 0.2970
```

Largest 10 diffraction maxima, by angle, 2θ = 10–90°:
- hkl 0 0 1, d 8.239, I = 28
- hkl 0 1 2, d 2.980, I = 100
- hkl 1 1 0, d 2.492, I = 77
- hkl 0 1 3, d 2.317, I = 12
- hkl 2 0 2, d 1.912, I = 28
- hkl 1 1 3, d 1.846, I = 13
- hkl 1 2 2, d 1.517, I = 26
- hkl 3 0 0, d 1.439, I = 13
- hkl 0 0 6, d 1.374, I = 11
- hkl 3 1 2, d 1.150, I = 11

---

Starting from a PBE-relaxed structure, the powder diffractogram of BaZnCdIn2 was simulated for Cu Kα X-rays.
Neutral-atom scattering factors, no anomalous dispersion.

```
data_BaZnCdIn2
_chemical_formula_sum 'Ba2 Zn2 Cd2 In4'
_space_group_name_H-M_alt 'I -4 m 2'
_space_group_IT_number 119
_space_group_name_Hall 'I -4 -2'
_cell_length_a 4.9143
_cell_length_b 4.9143
_cell_length_c 11.7590
_cell_angle_alpha 90.00
_cell_angle_beta 90.00
_cell_angle_gamma 90.00
loop_
_atom_site_label
_atom_site_fract_x
_atom_site_fract_y
_atom_site_fract_z
Ba1 0.0000 0.0000 0.0000
Zn1 0.0000 0.5000 0.7500
Cd1 0.0000 0.5000 0.2500
In1 0.0000 0.0000 0.3765
```

Largest 10 diffraction maxima, by angle, 2θ = 10–90°:
- hkl 1 1 0, d 3.475, I = 23
- hkl 1 0 3, d 3.064, I = 89
- hkl 1 1 2, d 2.991, I = 100
- hkl 2 0 0, d 2.457, I = 85
- hkl 1 1 4, d 2.244, I = 36
- hkl 1 0 5, d 2.121, I = 34
- hkl 2 1 3, d 1.917, I = 46
- hkl 2 2 0, d 1.737, I = 29
- hkl 2 1 5, d 1.606, I = 28
- hkl 3 1 2, d 1.502, I = 24

---

Starting from a PBE-relaxed structure, the powder diffractogram of Ba14Cd6Ir3 was simulated for Cu Kα X-rays.
Neutral-atom scattering factors, no anomalous dispersion.

```
data_Ba14Cd6Ir3
_chemical_formula_sum 'Ba28 Cd12 Ir6'
_space_group_name_H-M_alt 'C 1 m 1'
_space_group_IT_number 8
_cell_length_a 19.8833
_cell_length_b 13.0742
_cell_length_c 7.9367
_cell_angle_alpha 90.00
_cell_angle_beta 90.26
_cell_angle_gamma 90.00
loop_
_space_group_symop_operation_xyz
'x,y,z'
'x,-y,z'
'x+1/2,y+1/2,z'
'x+1/2,-y+1/2,z'
loop_
_atom_site_label
_atom_site_fract_x
_atom_site_fract_y
_atom_site_fract_z
Ba1 0.0000 0.0000 0.0000
Ba2 0.0204 0.3359 0.6623
Ba3 0.1309 0.3361 0.1921
Ba4 0.1507 0.0000 0.5142
Ba5 0.2101 0.5000 0.6738
Ba6 0.2317 0.0000 0.0182
Ba7 0.3040 0.2230 0.4333
Ba8 0.3477 0.2770 0.9287
Ba9 0.4197 0.5000 0.5026
Ba10 0.4405 0.0000 0.2197
Cd1 0.1780 0.2233 0.7761
Cd2 0.2925 0.5000 0.1595
Cd3 0.3585 0.0000 0.6762
Cd4 0.4715 0.2787 0.2633
Ir1 0.0769 0.5000 0.4314
Ir2 0.2930 0.0000 0.3673
Ir3 0.3562 0.5000 0.8482
```

Largest 10 diffraction maxima, by angle, 2θ = 10–90°:
- hkl 1 1 -1, d 6.422, I = 76
- hkl 3 1 0, d 5.912, I = 40
- hkl 4 2 -1, d 3.542, I = 61
- hkl 5 1 1, d 3.429, I = 95
- hkl 3 3 -1, d 3.312, I = 76
- hkl 0 4 0, d 3.269, I = 94
- hkl 2 2 -2, d 3.212, I = 95
- hkl 6 0 1, d 3.057, I = 100
- hkl 3 3 -2, d 2.684, I = 50
- hkl 6 4 1, d 2.233, I = 53